Entry 1:
This entry pairs a crystal structure of ZnNi2O4 with its simulated powder diffraction line list. Radiation: Cu Kα. Structure: a crystal structure in the Materials Project, relaxed with GGA+U.
Neutral-atom scattering factors, no anomalous dispersion.

Main lines, by angle (2θ = 5–70°):
(1 0 1), 18.54°, intensity 12.6
(1 1 2), 29.99°, intensity 36.4
(2 0 0), 31.53°, intensity 16.0
(1 0 3), 34.11°, intensity 62.7
(2 1 1), 36.83°, intensity 100.0
(2 0 2), 37.60°, intensity 16.7
(2 2 0), 45.19°, intensity 14.7
(1 0 5), 54.00°, intensity 20.7
(3 1 2), 55.19°, intensity 11.5
(3 2 1), 59.66°, intensity 30.0
(2 2 4), 62.32°, intensity 48.5
(4 0 0), 65.83°, intensity 20.1

Cell and atoms:
Cell: 5.6749 5.6749 8.8983 Å, 90.00 90.00 90.00°
Space group I4_1/amd (No. 141, origin choice 2)
One atom of each set of equivalent atoms:
Zn  0.0000  0.2500  0.3750
Ni  0.0000  0.0000  0.0000
O  0.0000  0.0246  0.7614

---

Entry 2:
This entry pairs a crystal structure of MnFeO4 with its simulated powder diffraction line list. Radiation: Cu Kα. Structure: a crystal structure in the Materials Project, relaxed with GGA+U.
Neutral-atom scattering factors, no anomalous dispersion.

Main lines, by angle (2θ = 5–70°):
(1 1 0), 25.77°, intensity 100.0
(1 1 -1), 31.34°, intensity 99.2
(1 1 1), 31.66°, intensity 93.3
(0 0 2), 36.06°, intensity 26.0
(0 2 1), 36.93°, intensity 43.1
(1 1 -2), 44.61°, intensity 16.5
(1 1 2), 45.09°, intensity 17.7
(1 3 0), 53.48°, intensity 28.7
(2 0 -2), 55.30°, intensity 22.8
(2 0 2), 56.13°, intensity 52.3
(2 2 1), 56.54°, intensity 38.8
(0 2 3), 65.41°, intensity 31.9

Cell and atoms:
Cell: 4.4051 5.5796 4.9816 Å, 90.00 90.79 90.00°
Space group P2/c (No. 13)
One atom of each set of equivalent atoms:
Mn  0.0000  0.1456  0.2500
Fe  0.5000  0.3446  0.7500
O  0.2280  0.1080  0.9284
O  0.2535  0.3769  0.4070

---

Entry 3:
This entry pairs a crystal structure of NaSrNdMnO6 with its simulated powder diffraction line list. Radiation: Cu Kα. Structure: a crystal structure in the Materials Project, relaxed with GGA+U.
Neutral-atom scattering factors, no anomalous dispersion.

Main lines, by angle (2θ = 5–70°):
(1 1 1), 18.33°, intensity 25.1
(2 0 0), 21.19°, intensity 24.2
(2 2 0), 30.15°, intensity 100.0
(3 1 1), 35.51°, intensity 20.5
(4 0 0), 43.16°, intensity 37.4
(3 3 1), 47.26°, intensity 11.9
(4 2 0), 48.56°, intensity 8.5
(4 2 2), 53.55°, intensity 38.6
(3 3 3), 57.08°, intensity 6.2
(4 4 0), 62.68°, intensity 21.8
(5 3 1), 65.91°, intensity 5.9
(6 0 0), 66.97°, intensity 3.6

Cell and atoms:
Cell: 8.3843 8.3843 8.3843 Å, 90.00 90.00 90.00°
Space group F-43m (No. 216)
One atom of each set of equivalent atoms:
Na  0.0000  0.0000  0.0000
Sr  0.0000  0.0000  0.5000
Nd  0.2500  0.2500  0.7500
Mn  0.2500  0.2500  0.2500
O  0.0237  0.2500  0.2500